Ba2MgVMoO6: computed powder diffractogram (Cu Kα), based on a crystal structure in the Materials Project, relaxed with GGA+U.

Cell and atoms:
Cell: 6.6254 6.6254 6.6254 Å, 54.47 54.47 54.47°
Sites, in units of the cell vectors:
Ba (0.0000, 0.0000, 0.0000)
Ba (0.4247, 0.4247, 0.4247)
Mg (0.6359, 0.6359, 0.6359)
V (0.8060, 0.8060, 0.8060)
Mo (0.2164, 0.2164, 0.2164)
O (0.4400, 0.9823, 0.9823)
O (0.4470, 0.4470, 0.9868)
O (0.4470, 0.9868, 0.4470)
O (0.9823, 0.4400, 0.9823)
O (0.9823, 0.9823, 0.4400)
O (0.9868, 0.4470, 0.4470)

Top 10 peaks for 15 to 90 degrees two-theta, sorted by position:
- 2θ 17.69, d 5.014, intensity 24
- 2θ 27.11, d 3.289, intensity 23
- 2θ 29.46, d 3.032, intensity 100
- 2θ 31.51, d 2.839, intensity 83
- 2θ 40.46, d 2.229, intensity 23
- 2θ 43.68, d 2.072, intensity 32
- 2θ 52.26, d 1.751, intensity 19
- 2θ 53.56, d 1.711, intensity 41
- 2θ 57.82, d 1.595, intensity 17
- 2θ 61.13, d 1.516, intensity 19